This entry pairs a crystal structure of Ba2YTlCr2O7 with its calculated powder XRD pattern. Radiation: Cu Kα X-rays. Structure: a PBE+U-relaxed structure.
Intensities are scaled so that the largest is 100.

Cell and atoms:
a = 3.943 Å, b = 3.943 Å, c = 13.206 Å
α = 90.00°, β = 90.00°, γ = 90.00°
Space group P4/mmm (No. 123)
Inequivalent atoms, fractional coordinates:
Ba  0.000  0.000  0.197 x2
Y  0.000  0.000  0.500 x1
Tl  0.500  0.500  0.000 x1
Cr  0.500  0.500  0.361 x2
O  0.000  0.000  0.000 x1
O  0.000  0.500  0.393 x4
O  0.500  0.500  0.215 x2

Largest 10 diffraction maxima, sorted by position, 2θ from 10° to 90°:
hkl 1 0 2, 2θ 26.33, intensity 27; hkl 1 0 3, 2θ 30.43, intensity 100; hkl 1 1 0, 2θ 32.10, intensity 56; hkl 0 0 5, 2θ 33.94, intensity 16; hkl 1 1 4, 2θ 42.43, intensity 15; hkl 2 0 0, 2θ 46.04, intensity 29; hkl 1 1 5, 2θ 47.41, intensity 14; hkl 1 1 6, 2θ 53.00, intensity 16; hkl 1 0 7, 2θ 53.84, intensity 16; hkl 2 1 3, 2θ 56.19, intensity 35